1.
For Sr2Sb2Se3O2, a structure optimized by DFT (PBE) gives the theoretical powder diffraction line list in this record (a wavelength of 1.5418 Å).
Peak positions follow from Bragg's law for the DFT cell and can differ from measured ones.

Peak list (10 most intense, 2θ = 10–90°, low angle first)
Position (°2θ)	I (rel.)
18.67	27
27.82	75
29.62	100
30.91	19
32.46	49
35.36	85
41.60	21
44.57	31
53.35	24
57.96	20

Structural model:
```
data_Sr2Sb2Se3O2
_chemical_formula_sum 'Sr2 Sb2 Se3 O2'
_symmetry_space_group_name_H-M 'P 1'
_symmetry_Int_Tables_number 1
_symmetry_space_group_name_Hall 'P 1'
_cell_length_a 7.083
_cell_length_b 7.083
_cell_length_c 9.669
_cell_angle_alpha 122.32
_cell_angle_beta 122.32
_cell_angle_gamma 33.36
loop_
_atom_site_label
_atom_site_type_symbol
_atom_site_fract_x
_atom_site_fract_y
_atom_site_fract_z
Sr1 Sr 0.102 0.102 0.394
Sr2 Sr 0.898 0.898 0.606
Sb1 Sb 0.309 0.309 0.856
Sb2 Sb 0.691 0.691 0.144
Se1 Se 0.000 0.000 0.000
Se2 Se 0.368 0.368 0.294
Se3 Se 0.632 0.632 0.706
O1 O 0.314 0.314 0.653
O2 O 0.686 0.686 0.347
```



2.
For Ac3InRh, a structure optimized by DFT (PBE) gives the theoretical powder diffraction line list in this record (a wavelength of 1.5418 Å).
Peak positions follow from Bragg's law for the DFT cell and can differ from measured ones.

Peak list (10 most intense, 2θ = 10–90°, low angle first)
Position (°2θ)	I (rel.)
26.35	66
27.01	60
27.33	99
28.00	100
30.04	34
36.14	35
41.37	27
42.25	20
44.36	33
50.89	27

Structural model:
```
data_Ac3InRh
_chemical_formula_sum 'Ac12 In4 Rh4'
_symmetry_space_group_name_H-M 'P 1'
_symmetry_Int_Tables_number 1
_symmetry_space_group_name_Hall 'P 1'
_cell_length_a 10.205
_cell_length_b 7.334
_cell_length_c 10.642
_cell_angle_alpha 90.00
_cell_angle_beta 114.39
_cell_angle_gamma 90.00
loop_
_atom_site_label
_atom_site_type_symbol
_atom_site_fract_x
_atom_site_fract_y
_atom_site_fract_z
Ac1 Ac 0.094 0.069 0.365
Ac2 Ac 0.094 0.431 0.865
Ac3 Ac 0.204 0.582 0.555
Ac4 Ac 0.204 0.918 0.055
Ac5 Ac 0.375 0.094 0.770
Ac6 Ac 0.375 0.406 0.270
Ac7 Ac 0.625 0.594 0.730
Ac8 Ac 0.625 0.906 0.230
Ac9 Ac 0.796 0.082 0.945
Ac10 Ac 0.796 0.418 0.445
Ac11 Ac 0.906 0.569 0.135
Ac12 Ac 0.906 0.931 0.635
In1 In 0.427 0.666 0.925
In2 In 0.427 0.834 0.425
In3 In 0.573 0.166 0.575
In4 In 0.573 0.334 0.075
Rh1 Rh 0.081 0.245 0.613
Rh2 Rh 0.081 0.255 0.113
Rh3 Rh 0.919 0.745 0.887
Rh4 Rh 0.919 0.755 0.387
```



- What is the formula in the second record?
  Ac3InRh